No. 1
Simulated XRD peak list
Compound: K3Bi2
Radiation: copper Kα
Structure: a structure optimized by DFT (GGA-PBE)
Neutral-atom scattering factors, no anomalous dispersion.

Peak list (10 most intense, 15° ≤ 2θ ≤ 90°, low angle first)
(1 1 1), 2θ 17.91, 4.951 Å, rel. 100.0
(0 2 2), 2θ 26.54, 3.359 Å, rel. 19.3
(1 3 0), 2θ 28.82, 3.098 Å, rel. 14.2
(3 1 -1), 2θ 29.57, 3.021 Å, rel. 74.0
(2 0 2), 2θ 31.21, 2.866 Å, rel. 21.1
(1 3 1), 2θ 31.33, 2.855 Å, rel. 23.2
(2 2 2), 2θ 36.24, 2.479 Å, rel. 12.9
(3 1 -3), 2θ 36.50, 2.462 Å, rel. 19.0
(1 1 -5), 2θ 48.69, 1.870 Å, rel. 9.6
(5 1 -1), 2θ 48.83, 1.865 Å, rel. 9.4

Crystal structure
```
data_K3Bi2
_symmetry_space_group_name_H-M 'C 1 2/c 1'
_symmetry_Int_Tables_number 15
_cell_length_a 9.522
_cell_length_b 9.877
_cell_length_c 9.554
_cell_angle_alpha 90.00
_cell_angle_beta 106.13
_cell_angle_gamma 90.00
loop_
_symmetry_equiv_pos_as_xyz
'x,y,z'
'-x,-y,-z'
'-x,y,-z+1/2'
'x,-y,z+1/2'
'x+1/2,y+1/2,z'
'-x+1/2,-y+1/2,-z'
'-x+1/2,y+1/2,-z+1/2'
'x+1/2,-y+1/2,z+1/2'
loop_
_atom_site_label
_atom_site_fract_x
_atom_site_fract_y
_atom_site_fract_z
K1 0.000 0.164 0.250
K2 0.207 0.447 0.979
Bi1 0.101 0.213 0.653
```

---

No. 2
Simulated XRD peak list
Compound: BaSn3Pt
Radiation: copper Kα
Structure: a structure optimized by DFT (GGA-PBE)
Neutral-atom scattering factors, no anomalous dispersion.

Peak list (10 most intense, 15° ≤ 2θ ≤ 90°, low angle first)
(1 0 1), 2θ 19.50, 4.552 Å, rel. 30.7
(1 0 3), 2θ 29.77, 3.001 Å, rel. 74.7
(1 1 2), 2θ 29.93, 2.985 Å, rel. 99.5
(2 0 0), 2θ 36.12, 2.487 Å, rel. 100.0
(1 1 4), 2θ 41.00, 2.201 Å, rel. 48.2
(1 0 5), 2θ 44.04, 2.056 Å, rel. 27.6
(2 1 3), 2θ 47.48, 1.915 Å, rel. 41.4
(2 2 0), 2θ 52.00, 1.759 Å, rel. 35.8
(2 1 5), 2θ 58.22, 1.585 Å, rel. 24.4
(3 1 2), 2θ 61.14, 1.516 Å, rel. 36.8

Crystal structure
```
data_BaSn3Pt
_symmetry_space_group_name_H-M 'I 4 m m'
_symmetry_Int_Tables_number 107
_symmetry_space_group_name_Hall 'I 4 -2'
_cell_length_a 4.974
_cell_length_b 4.974
_cell_length_c 11.291
_cell_angle_alpha 90.00
_cell_angle_beta 90.00
_cell_angle_gamma 90.00
loop_
_atom_site_label
_atom_site_fract_x
_atom_site_fract_y
_atom_site_fract_z
Ba1 0.000 0.000 0.000
Sn1 0.000 0.000 0.415
Sn2 0.000 0.500 0.252
Pt1 0.000 0.000 0.652
```

---

No. 3
Simulated XRD peak list
Compound: Ba4NbP4O18F2
Radiation: copper Kα
Structure: a structure optimized by DFT (GGA-PBE)
Neutral-atom scattering factors, no anomalous dispersion.

Peak list (10 most intense, 15° ≤ 2θ ≤ 90°, low angle first)
(1 1 0), 2θ 16.96, 5.226 Å, rel. 59.9
(0 0 2), 2θ 20.52, 4.327 Å, rel. 56.0
(0 1 -2), 2θ 23.17, 3.839 Å, rel. 57.3
(2 0 0), 2θ 24.13, 3.688 Å, rel. 37.9
(0 2 -1), 2θ 25.34, 3.515 Å, rel. 49.8
(0 2 1), 2θ 26.37, 3.380 Å, rel. 100.0
(2 -1 0), 2θ 26.78, 3.329 Å, rel. 59.2
(2 1 1), 2θ 29.36, 3.042 Å, rel. 42.3
(2 0 -2), 2θ 31.67, 2.825 Å, rel. 45.6
(3 0 0), 2θ 36.55, 2.459 Å, rel. 36.3

Crystal structure
```
data_Ba4NbP4O18F2
_symmetry_space_group_name_H-M 'P -1'
_symmetry_Int_Tables_number 2
_cell_length_a 7.378
_cell_length_b 7.523
_cell_length_c 8.668
_cell_angle_alpha 93.04
_cell_angle_beta 90.70
_cell_angle_gamma 90.77
loop_
_symmetry_equiv_pos_as_xyz
'x,y,z'
'-x,-y,-z'
loop_
_atom_site_label
_atom_site_fract_x
_atom_site_fract_y
_atom_site_fract_z
Ba1 0.170 0.154 0.190
Ba2 0.192 0.361 0.720
Nb1 0.500 0.000 0.500
P1 0.283 0.642 0.312
P2 0.314 0.866 0.836
O1 0.154 0.775 0.244
O2 0.179 0.493 0.390
O3 0.190 0.023 0.882
O4 0.199 0.715 0.758
O5 0.257 0.080 0.492
O6 0.419 0.808 0.979
O7 0.421 0.551 0.195
O8 0.427 0.739 0.424
O9 0.466 0.927 0.721
F1 0.192 0.415 0.018
```

---

No. 4
Simulated XRD peak list
Compound: Ba12Br3Cl2F19
Radiation: copper Kα
Structure: a structure optimized by DFT (GGA-PBE)
Neutral-atom scattering factors, no anomalous dispersion.

Peak list (10 most intense, 15° ≤ 2θ ≤ 90°, low angle first)
(0 6 2), 2θ 24.79, 3.591 Å, rel. 75.1
(0 5 3), 2θ 25.82, 3.450 Å, rel. 30.0
(1 5 1), 2θ 27.78, 3.212 Å, rel. 100.0
(1 3 3), 2θ 29.61, 3.017 Å, rel. 32.4
(1 7 1), 2θ 33.00, 2.714 Å, rel. 52.8
(2 0 0), 2θ 41.04, 2.199 Å, rel. 28.8
(1 10 0), 2θ 41.71, 2.165 Å, rel. 29.2
(0 12 0), 2θ 43.66, 2.073 Å, rel. 38.3
(1 10 4), 2θ 49.13, 1.854 Å, rel. 49.9
(0 15 5), 2θ 64.92, 1.436 Å, rel. 24.9

Crystal structure
```
data_Ba12Br3Cl2F19
_symmetry_space_group_name_H-M 'A m m 2'
_symmetry_Int_Tables_number 38
_cell_length_a 4.398
_cell_length_b 24.882
_cell_length_c 14.361
_cell_angle_alpha 90.00
_cell_angle_beta 90.00
_cell_angle_gamma 90.00
loop_
_symmetry_equiv_pos_as_xyz
'x,y,z'
'-x,-y,z'
'-x,y,z'
'x,-y,z'
'x,y+1/2,z+1/2'
'-x,-y+1/2,z+1/2'
'-x,y+1/2,z+1/2'
'x,-y+1/2,z+1/2'
loop_
_atom_site_label
_atom_site_fract_x
_atom_site_fract_y
_atom_site_fract_z
Ba1 0.000 0.000 0.000
Ba2 0.000 0.000 0.442
Ba3 0.000 0.090 0.707
Ba4 0.000 0.189 0.430
Ba5 0.500 0.084 0.232
Ba6 0.500 0.152 0.939
Ba7 0.500 0.236 0.688
Br1 0.000 0.167 0.120
Br2 0.500 0.000 0.810
Cl1 0.500 0.095 0.524
F1 0.000 0.000 0.186
F2 0.000 0.000 0.619
F3 0.000 0.092 0.336
F4 0.000 0.096 0.900
F5 0.000 0.188 0.623
F6 0.000 0.217 0.837
F7 0.500 0.000 0.343
F8 0.500 0.062 0.048
F9 0.500 0.139 0.758
F10 0.500 0.183 0.312
F11 0.500 0.245 0.499
```

---

No. 5
Simulated XRD peak list
Compound: Pr3Ir
Radiation: copper Kα
Structure: a structure optimized by DFT (GGA-PBE)
Neutral-atom scattering factors, no anomalous dispersion.

Peak list (10 most intense, 15° ≤ 2θ ≤ 90°, low angle first)
(2 1 1), 2θ 29.01, 3.078 Å, rel. 34.6
(0 3 1), 2θ 30.03, 2.976 Å, rel. 98.2
(1 1 2), 2θ 31.02, 2.883 Å, rel. 100.0
(1 3 1), 2θ 32.45, 2.759 Å, rel. 70.4
(2 2 1), 2θ 32.99, 2.715 Å, rel. 70.0
(1 2 2), 2θ 34.79, 2.579 Å, rel. 39.0
(2 3 0), 2θ 36.23, 2.479 Å, rel. 50.6
(3 0 1), 2θ 38.86, 2.318 Å, rel. 34.8
(3 3 2), 2θ 53.92, 1.700 Å, rel. 37.4
(0 6 0), 2θ 55.16, 1.665 Å, rel. 47.1

Crystal structure
```
data_Pr3Ir
_symmetry_space_group_name_H-M 'P n m a'
_symmetry_Int_Tables_number 62
_cell_length_a 7.427
_cell_length_b 9.991
_cell_length_c 6.589
_cell_angle_alpha 90.00
_cell_angle_beta 90.00
_cell_angle_gamma 90.00
loop_
_symmetry_equiv_pos_as_xyz
'x,y,z'
'-x,-y,-z'
'-x+1/2,-y,z+1/2'
'x+1/2,y,-z+1/2'
'x+1/2,-y+1/2,-z+1/2'
'-x+1/2,y+1/2,z+1/2'
'-x,y+1/2,-z'
'x,-y+1/2,z'
loop_
_atom_site_label
_atom_site_fract_x
_atom_site_fract_y
_atom_site_fract_z
Pr1 0.034 0.250 0.139
Pr2 0.175 0.066 0.671
Ir1 0.117 0.750 0.436
```